Theoretical X-ray powder pattern
Compound: CoAgBrF2
Radiation: Cu Kα (λ = 1.5418 Å)
Structure: a crystal structure in Alexandria, relaxed with GGA+U

Peak list (10 most intense, 2θ = 5–70°, sorted by position)
| (hkl) | 2θ (°) | d [Å] | Rel. int. |
| --- | --- | --- | --- |
| 0 0 1 | 10.6 | 8.367 | 85 |
| 1 0 -1 | 17.5 | 5.064 | 52 |
| 0 1 1 | 25.9 | 3.436 | 66 |
| 1 1 0 | 27.8 | 3.204 | 100 |
| 2 0 1 | 31.9 | 2.805 | 69 |
| 2 1 0 | 38.0 | 2.368 | 46 |
| 2 1 1 | 40.0 | 2.252 | 93 |
| 0 1 3 | 40.2 | 2.242 | 47 |
| 1 1 -3 | 42.3 | 2.136 | 61 |
| 0 2 0 | 48.3 | 1.884 | 43 |

Cell and atoms:
```
CoAgBrF2
1.0
6.0971 0.0000 0.0000
0.0000 3.7688 0.0000
-0.4854 0.0000 8.3670
Co Ag Br F
2 2 2 4
direct
0.0194 0.2500 0.1627 Co
0.9806 0.7500 0.8373 Co
0.3285 0.2500 0.5455 Ag
0.6715 0.7500 0.4545 Ag
0.4209 0.2500 0.2321 Br
0.5791 0.7500 0.7679 Br
0.0724 0.2500 0.9102 F
0.0879 0.7500 0.6279 F
0.9121 0.2500 0.3721 F
0.9276 0.7500 0.0898 F
```